No. 1
Starting from a structure optimized by DFT (PBE), the powder XRD pattern of Mg12TlCd3 was simulated for CuKα.
Intensities are scaled so that the largest is 100.

Cell and atoms:
abc: 4.547 4.547 17.306
angles: 90.00 90.00 90.00
Space group P4/mmm (No. 123)
One atom of each set of equivalent atoms:
Mg 0.000 0.000 0.000
Mg 0.000 0.000 0.246
Mg 0.000 0.000 0.500
Mg 0.000 0.500 0.122
Mg 0.000 0.500 0.369
Tl 0.500 0.500 0.500
Cd 0.500 0.500 0.000
Cd 0.500 0.500 0.246

Principal peaks in the range 2θ = 10–90°, in order of rising 2θ:
index  2θ/deg  I (rel.)
1 0 0  19.52  55.9
0 0 4  20.53  24.9
1 1 0  27.75  24.1
1 0 4  28.48  45.0
1 1 4  34.76  100.0
2 0 0  39.65  34.8
0 0 8  41.75  14.6
2 1 4  49.53  19.5
2 0 8  58.94  20.5
3 1 4  68.81  25.8


No. 2
Starting from a structure optimized by DFT (PBE), the powder XRD pattern of K2LiCd6 was simulated for CuKα.
Intensities are scaled so that the largest is 100.

Cell and atoms:
abc: 9.2542 9.2542 3.3374
angles: 90.00 90.00 120.00
Space group P6/mmm (No. 191)
One atom of each set of equivalent atoms:
K 0.3333 0.6667 0.0000
Li 0.0000 0.0000 0.0000
Cd 0.0000 0.3164 0.5000

Principal peaks in the range 2θ = 10–90°, in order of rising 2θ:
index  2θ/deg  I (rel.)
1 1 0  19.18  44.5
0 0 1  26.71  38.5
1 1 1  33.09  66.9
3 0 0  33.55  100.0
3 0 1  43.39  57.6
2 2 1  47.84  21.6
4 1 1  59.69  19.8
3 3 0  59.98  16.0
3 0 2  66.01  25.6
3 3 1  66.82  12.9


No. 3
Starting from a structure optimized by DFT (PBE), the powder XRD pattern of PmSmTe2O8 was simulated for CuKα.
Intensities are scaled so that the largest is 100.

Cell and atoms:
abc: 7.537 7.537 6.938
angles: 90.00 90.00 90.00
Space group I-4m2 (No. 119)
One atom of each set of equivalent atoms:
Pm 0.000 0.000 0.000
Sm 0.000 0.500 0.750
Te 0.000 0.000 0.500
Te 0.000 0.500 0.250
O 0.000 0.185 0.697
O 0.000 0.317 0.053

Principal peaks in the range 2θ = 10–90°, in order of rising 2θ:
index  2θ/deg  I (rel.)
2 0 0  23.61  100.0
1 1 2  30.75  79.2
2 2 0  33.63  25.6
3 1 2  46.21  66.6
4 0 0  48.30  16.1
4 2 0  54.44  15.8
3 3 2  58.36  19.9
2 0 4  58.59  15.2
5 1 2  69.07  15.0
5 3 2  79.06  12.6


Please write out number 3 again, unchanged.
Starting from a structure optimized by DFT (PBE), the powder XRD pattern of PmSmTe2O8 was simulated for CuKα.
Intensities are scaled so that the largest is 100.

Cell and atoms:
abc: 7.537 7.537 6.938
angles: 90.00 90.00 90.00
Space group I-4m2 (No. 119)
One atom of each set of equivalent atoms:
Pm 0.000 0.000 0.000
Sm 0.000 0.500 0.750
Te 0.000 0.000 0.500
Te 0.000 0.500 0.250
O 0.000 0.185 0.697
O 0.000 0.317 0.053

Principal peaks in the range 2θ = 10–90°, in order of rising 2θ:
index  2θ/deg  I (rel.)
2 0 0  23.61  100.0
1 1 2  30.75  79.2
2 2 0  33.63  25.6
3 1 2  46.21  66.6
4 0 0  48.30  16.1
4 2 0  54.44  15.8
3 3 2  58.36  19.9
2 0 4  58.59  15.2
5 1 2  69.07  15.0
5 3 2  79.06  12.6


> What is the formula in the first record?

Mg12TlCd3